Structure and computed PXRD pattern of Rb3TbCl6 (a cell relaxed with GGA-PBE; Cu Ka).

Top 10 peaks for 5° ≤ 2θ ≤ 70°, in order of rising 2θ:
| d [Å] | I_rel |
| --- | --- |
| 6.511 | 35 |
| 5.604 | 22 |
| 4.053 | 24 |
| 3.951 | 63 |
| 3.874 | 100 |
| 2.940 | 22 |
| 2.802 | 66 |
| 2.731 | 25 |
| 2.266 | 19 |
| 1.938 | 24 |

Cell and atoms:
abc: 13.607 13.607 13.231
angles: 99.03 99.03 34.66
Fractional positions:
1 Rb 0.023 0.647 0.191
2 Rb 0.166 0.528 0.853
3 Rb 0.170 0.717 0.555
4 Rb 0.283 0.830 0.945
5 Rb 0.353 0.977 0.309
6 Rb 0.472 0.834 0.647
7 Rb 0.528 0.166 0.353
8 Rb 0.647 0.023 0.691
9 Rb 0.717 0.170 0.055
10 Rb 0.830 0.283 0.445
11 Rb 0.834 0.472 0.147
12 Rb 0.977 0.353 0.809
13 Tb 0.000 0.500 0.500
14 Tb 0.197 0.803 0.250
15 Tb 0.500 0.000 0.000
16 Tb 0.803 0.197 0.750
17 Cl 0.015 0.111 0.211
18 Cl 0.111 0.015 0.711
19 Cl 0.131 0.370 0.314
20 Cl 0.151 0.742 0.061
21 Cl 0.154 0.206 0.533
22 Cl 0.206 0.154 0.033
23 Cl 0.258 0.849 0.439
24 Cl 0.277 0.384 0.573
25 Cl 0.351 0.524 0.319
26 Cl 0.370 0.131 0.814
27 Cl 0.384 0.277 0.073
28 Cl 0.476 0.649 0.181
29 Cl 0.524 0.351 0.819
30 Cl 0.616 0.723 0.927
31 Cl 0.630 0.869 0.186
32 Cl 0.649 0.476 0.681
33 Cl 0.723 0.616 0.427
34 Cl 0.742 0.151 0.561
35 Cl 0.794 0.846 0.967
36 Cl 0.846 0.794 0.467
37 Cl 0.849 0.258 0.939
38 Cl 0.869 0.630 0.686
39 Cl 0.889 0.985 0.289
40 Cl 0.985 0.889 0.789